The following is a simulated X-ray powder pattern of Sm3ErTm3. It was derived from the PBE geometry in Alexandria, using CuKα.
Kinematic intensities with the Lorentz-polarization factor, no thermal factor.

The 10 most intense peaks (15° ≤ 2θ ≤ 90°), sorted by position:
index, 2θ/deg, intensity
2 1 0, 28.59, 24
0 0 2, 31.51, 25
2 1 1, 32.73, 100
2 1 2, 43.06, 16
1 4 0, 50.63, 20
2 1 3, 56.89, 21
1 4 2, 60.87, 23
4 2 1, 61.60, 16
7 0 1, 83.69, 14
1 4 4, 87.46, 9

Lattice parameters (Å, degrees): 9.540 9.540 5.678 90.00 90.00 120.00
Atoms (fractional coordinates):
1 Sm 0.049 0.242 0.250
2 Sm 0.194 0.951 0.250
3 Sm 0.242 0.194 0.750
4 Sm 0.758 0.806 0.250
5 Sm 0.806 0.049 0.750
6 Sm 0.951 0.758 0.750
7 Er 0.333 0.667 0.250
8 Er 0.667 0.333 0.750
9 Tm 0.095 0.478 0.750
10 Tm 0.383 0.905 0.750
11 Tm 0.478 0.383 0.250
12 Tm 0.522 0.617 0.750
13 Tm 0.617 0.095 0.250
14 Tm 0.905 0.522 0.250